No. 1
For KBaYB6O12, a structure optimized by DFT (GGA-PBE) gives the calculated powder diffraction line list in this record (CuKα).
Peak positions follow from Bragg's law for the DFT cell and can differ from measured ones.

The 6 most intense peaks (15 to 90 degrees two-theta), sorted by position:
24.40 deg, 3.648 Å, I = 32.6, hkl 1 0 4; 24.58 deg, 3.622 Å, I = 81.5, hkl 1 1 0; 28.66 deg, 3.114 Å, I = 100.0, hkl 0 1 5; 28.87 deg, 3.092 Å, I = 43.6, hkl 0 2 1; 43.16 deg, 2.096 Å, I = 45.9, hkl 3 -1 4; 45.88 deg, 1.978 Å, I = 33.9, hkl 3 -2 5

Structural model:
abc: 7.2430 7.2430 17.9393
angles: 90.00 90.00 120.00
Space group R3 (No. 146, hexagonal axes)
Unique sites:
K  0.0000  0.0000  0.0000 x3
Ba  0.0000  0.0000  0.5808 x3
Y  0.0000  0.0000  0.7901 x3
B  0.0491  0.8319  0.3729 x9
B  0.1651  0.4492  0.8711 x9
O  0.0029  0.2501  0.8682 x9
O  0.0473  0.8359  0.2060 x9
O  0.0963  0.6759  0.3745 x9
O  0.1702  0.4553  0.0392 x9

No. 2
For BaLaB12, a structure optimized by DFT (GGA-PBE) gives the calculated powder diffraction line list in this record (CuKα).
Peak positions follow from Bragg's law for the DFT cell and can differ from measured ones.

The 6 most intense peaks (15 to 90 degrees two-theta), sorted by position:
21.09 deg, 4.213 Å, I = 60.6, hkl 1 0 0; 30.00 deg, 2.979 Å, I = 100.0, hkl 1 1 0; 36.96 deg, 2.432 Å, I = 41.7, hkl 1 1 2; 42.94 deg, 2.106 Å, I = 21.4, hkl 2 0 0; 48.31 deg, 1.884 Å, I = 48.8, hkl 2 1 0; 53.26 deg, 1.720 Å, I = 26.2, hkl 2 1 2

Structural model:
abc: 4.2106 4.2106 8.4345
angles: 90.00 90.00 90.00
Space group P4/mmm (No. 123)
Unique sites:
Ba  0.0000  0.0000  0.0000 x1
La  0.0000  0.0000  0.5000 x1
B  0.2022  0.5000  0.2543 x8
B  0.5000  0.5000  0.1038 x2
B  0.5000  0.5000  0.4010 x2